For Ba2Mg2Tl2Ni3O10, a PBE+U-relaxed structure gives the simulated XRD peak list in this record (λ = 1.5418 Å (Cu Kα)).
Intensities are scaled so that the largest is 100.

Structural model:
a = 3.649 Å, b = 3.734 Å, c = 20.385 Å
α = 84.87°, β = 84.95°, γ = 90.00°
Space group P1 (No. 1)
One atom of each set of equivalent atoms:
Ba (0.000, 0.000, 0.000) [1 per cell]
Ba (0.301, 0.261, 0.429) [1 per cell]
Mg (0.083, 0.097, 0.801) [1 per cell]
Mg (0.179, 0.164, 0.630) [1 per cell]
Tl (0.426, 0.417, 0.153) [1 per cell]
Tl (0.870, 0.850, 0.273) [1 per cell]
Ni (0.552, 0.565, 0.873) [1 per cell]
Ni (0.626, 0.629, 0.718) [1 per cell]
Ni (0.722, 0.697, 0.557) [1 per cell]
O (0.070, 0.579, 0.838) [1 per cell]
O (0.150, 0.645, 0.672) [1 per cell]
O (0.242, 0.717, 0.514) [1 per cell]
O (0.415, 0.360, 0.257) [1 per cell]
O (0.479, 0.474, 0.051) [1 per cell]
O (0.541, 0.046, 0.911) [1 per cell]
O (0.607, 0.112, 0.754) [1 per cell]
O (0.701, 0.182, 0.587) [1 per cell]
O (0.832, 0.792, 0.374) [1 per cell]
O (0.956, 0.906, 0.168) [1 per cell]

Peak list (6 most intense, 10 to 80 degrees two-theta, by intensity)
two_theta  intensity
34.4  100
28.5  90
28.9  87
31.0  45
46.9  44
34.7  39